NdH10S3N3O11: theoretical powder diffraction line list (CuKα), based on a crystal structure in Alexandria, relaxed with GGA-PBE.

Atomic structure:
abc: 8.0845 9.3208 9.4182
angles: 119.07 90.23 95.67
Space group P-1 (No. 2)
Unique sites:
Nd 0.2214 0.2119 0.3768 [2 per cell]
H 0.1226 0.3130 0.9607 [2 per cell]
H 0.1588 0.6178 0.2514 [2 per cell]
H 0.2261 0.7580 0.4449 [2 per cell]
H 0.2638 0.1365 0.0217 [2 per cell]
H 0.2811 0.9638 0.0183 [2 per cell]
H 0.3188 0.3187 0.8986 [2 per cell]
H 0.3339 0.8691 0.3054 [2 per cell]
H 0.3557 0.7686 0.7771 [2 per cell]
H 0.3670 0.6710 0.8844 [2 per cell]
H 0.5001 0.0118 0.6745 [2 per cell]
S 0.1175 0.6181 0.7577 [2 per cell]
S 0.1521 0.0981 0.7144 [2 per cell]
S 0.4109 0.5796 0.3214 [2 per cell]
N 0.2177 0.2440 0.9021 [2 per cell]
N 0.2601 0.6925 0.3269 [2 per cell]
N 0.2936 0.7387 0.8558 [2 per cell]
O 0.0147 0.9639 0.2641 [2 per cell]
O 0.0239 0.7283 0.7265 [2 per cell]
O 0.0419 0.5678 0.8694 [2 per cell]
O 0.1447 0.1726 0.6080 [2 per cell]
O 0.1586 0.4777 0.6041 [2 per cell]
O 0.2733 0.9779 0.6645 [2 per cell]
O 0.2867 0.0853 0.0902 [2 per cell]
O 0.3344 0.4232 0.3080 [2 per cell]
O 0.3776 0.9751 0.3090 [2 per cell]
O 0.4954 0.3139 0.5209 [2 per cell]
O 0.4960 0.4489 0.8202 [2 per cell]

Largest 8 diffraction maxima, by angle, 2θ from 10° to 80°:
10.8°, I = 100
11.0°, I = 32
14.6°, I = 73
20.8°, I = 30
22.1°, I = 37
23.7°, I = 32
24.1°, I = 28
25.3°, I = 68